LiSc3Tl2F12: computed XRD peak list (Cu Kα, 1.54184 Å), based on the GGA-PBE geometry in Alexandria.
Peak positions follow from Bragg's law for the DFT cell and can differ from measured ones.

Peak list (10 most intense, 15 to 90 degrees two-theta, sorted by position)
2θ = 16.33°, I 485
2θ = 22.97°, I 357
2θ = 27.03°, I 321
2θ = 27.20°, I 1000
2θ = 28.99°, I 203
2θ = 37.31°, I 288
2θ = 43.05°, I 345
2θ = 46.94°, I 227
2θ = 50.30°, I 206
2θ = 56.11°, I 172

Crystal structure
```
LiSc3Tl2F12
1.0
3.8717 2.2353 6.1604
-3.8717 2.2353 6.1604
0.0000 -4.4706 6.1604
Li Sc Tl F
1 3 2 12
Direct
0.0000 0.0000 0.0000
0.0000 0.0000 0.5000
0.0000 0.5000 0.0000
0.5000 0.0000 0.0000
0.3354 0.3354 0.3354
0.6646 0.6646 0.6646
0.0598 0.6877 0.6877
0.0753 0.0753 0.6653
0.0753 0.6653 0.0753
0.3123 0.3123 0.9402
0.3123 0.9402 0.3123
0.3347 0.9247 0.9247
0.6653 0.0753 0.0753
0.6877 0.0598 0.6877
0.6877 0.6877 0.0598
0.9247 0.3347 0.9247
0.9247 0.9247 0.3347
0.9402 0.3123 0.3123
```